This entry pairs a crystal structure of Y4Al2O9 with its computed powder diffractogram. Radiation: a wavelength of 1.5418 Å. Structure: DFT lattice parameters and positions (GGA-PBE).
Lines closer than 0.1° are merged.

Largest 6 diffraction maxima, most intense first, 2θ from 10° to 90°:
index	2θ/deg	d (Å)	Rel. int.
2 2 -1	29.38	3.040	100.0
0 2 3	30.28	2.952	64.6
0 3 2	30.42	2.938	25.0
0 1 3	26.42	3.374	22.5
2 4 -4	49.67	1.835	20.8
0 1 2	18.62	4.766	20.2

Cell and atoms:
Unit cell a=7.437 b=10.561 c=11.261 alpha=90.00 beta=108.48 gamma=90.00
Element x y z (fractional)
Y 0.023 0.096 0.306
Y 0.023 0.404 0.806
Y 0.161 0.622 0.583
Y 0.161 0.878 0.083
Y 0.340 0.127 0.939
Y 0.340 0.373 0.439
Y 0.477 0.610 0.215
Y 0.477 0.890 0.715
Y 0.523 0.110 0.285
Y 0.523 0.390 0.785
Y 0.660 0.627 0.561
Y 0.660 0.873 0.061
Y 0.839 0.122 0.917
Y 0.839 0.378 0.417
Y 0.977 0.596 0.194
Y 0.977 0.904 0.694
Al 0.218 0.179 0.628
Al 0.218 0.321 0.128
Al 0.346 0.677 0.886
Al 0.346 0.823 0.386
Al 0.654 0.177 0.614
Al 0.654 0.323 0.114
Al 0.782 0.679 0.872
Al 0.782 0.821 0.372
O 0.074 0.233 0.481
O 0.074 0.267 0.981
O 0.077 0.506 0.393
O 0.077 0.994 0.893
O 0.210 0.738 0.253
O 0.210 0.762 0.753
O 0.212 0.016 0.654
O 0.212 0.484 0.154
O 0.231 0.240 0.269
O 0.231 0.260 0.769
O 0.305 0.517 0.840
O 0.305 0.983 0.340
O 0.362 0.730 0.037
O 0.362 0.770 0.537
O 0.434 0.239 0.616
O 0.434 0.261 0.116
O 0.435 0.508 0.608
O 0.435 0.992 0.108
O 0.565 0.008 0.892
O 0.565 0.492 0.392
O 0.566 0.739 0.884
O 0.566 0.761 0.384
O 0.638 0.230 0.463
O 0.638 0.270 0.963
O 0.695 0.017 0.660
O 0.695 0.483 0.160
O 0.769 0.740 0.231
O 0.769 0.760 0.731
O 0.788 0.516 0.846
O 0.788 0.984 0.346
O 0.790 0.238 0.247
O 0.790 0.262 0.747
O 0.923 0.006 0.107
O 0.923 0.494 0.607
O 0.926 0.733 0.019
O 0.926 0.767 0.519

***

This entry pairs a crystal structure of Y4Al2O9 with its computed powder diffractogram. Radiation: a wavelength of 1.5418 Å. Structure: DFT lattice parameters and positions (GGA-PBE).
Lines closer than 0.1° are merged.

Largest 6 diffraction maxima, most intense first, 2θ from 10° to 90°:
index	2θ/deg	d (Å)	Rel. int.
2 2 -1	29.46	3.032	100.0
0 2 3	30.32	2.948	66.6
0 3 2	30.49	2.931	25.2
0 1 3	26.44	3.371	22.1
0 1 2	18.64	4.760	20.6
4 0 -2	49.12	1.855	20.4

Cell and atoms:
Unit cell a=7.420 b=10.528 c=11.245 alpha=90.00 beta=108.34 gamma=90.00
Element x y z (fractional)
Y 0.085 0.118 0.412
Y 0.085 0.382 0.912
Y 0.232 0.610 0.713
Y 0.232 0.890 0.213
Y 0.276 0.095 0.804
Y 0.276 0.405 0.304
Y 0.408 0.631 0.059
Y 0.408 0.869 0.559
Y 0.592 0.131 0.441
Y 0.592 0.369 0.941
Y 0.724 0.595 0.696
Y 0.724 0.905 0.196
Y 0.768 0.110 0.787
Y 0.768 0.390 0.287
Y 0.915 0.618 0.088
Y 0.915 0.882 0.588
Al 0.090 0.681 0.384
Al 0.090 0.819 0.884
Al 0.456 0.176 0.125
Al 0.456 0.324 0.625
Al 0.544 0.676 0.375
Al 0.544 0.824 0.875
Al 0.910 0.181 0.116
Al 0.910 0.319 0.616
O 0.027 0.525 0.329
O 0.027 0.975 0.829
O 0.032 0.228 0.747
O 0.032 0.272 0.247
O 0.114 0.735 0.537
O 0.114 0.765 0.037
O 0.188 0.003 0.606
O 0.188 0.497 0.106
O 0.319 0.726 0.383
O 0.319 0.774 0.883
O 0.320 0.235 0.978
O 0.320 0.265 0.478
O 0.333 0.002 0.391
O 0.333 0.498 0.891
O 0.436 0.012 0.144
O 0.436 0.488 0.644
O 0.476 0.241 0.766
O 0.476 0.259 0.266
O 0.524 0.741 0.734
O 0.524 0.759 0.234
O 0.564 0.512 0.356
O 0.564 0.988 0.856
O 0.667 0.502 0.109
O 0.667 0.998 0.609
O 0.680 0.735 0.522
O 0.680 0.765 0.022
O 0.681 0.226 0.117
O 0.681 0.274 0.617
O 0.812 0.503 0.894
O 0.812 0.997 0.394
O 0.886 0.235 0.963
O 0.886 0.265 0.463
O 0.968 0.728 0.753
O 0.968 0.772 0.253
O 0.973 0.025 0.171
O 0.973 0.475 0.671